# 1
# Sn2S3O12
Theoretical X-ray diffraction stick pattern, a wavelength of 1.5418 Å. Input: a crystal structure in the Materials Project, relaxed with GGA-PBE.

```
data_Sn2S3O12
_chemical_formula_sum 'Sn12 S18 O72'
_space_group_name_H-M_alt 'R -3'
_space_group_IT_number 148
_space_group_name_Hall '-R 3'
_cell_length_a 8.6650
_cell_length_b 8.6650
_cell_length_c 24.6453
_cell_angle_alpha 90.00
_cell_angle_beta 90.00
_cell_angle_gamma 120.00
loop_
_atom_site_label
_atom_site_type_symbol
_atom_site_fract_x
_atom_site_fract_y
_atom_site_fract_z
Sn1 Sn 0.0000 0.0000 0.1411
Sn2 Sn 0.0000 0.0000 0.3443
S1 S 0.0121 0.3092 0.2566
O1 O 0.0210 0.2425 0.2030
O2 O 0.0607 0.8249 0.0749
O3 O 0.0676 0.8432 0.7026
O4 O 0.0956 0.8695 0.3929
```

Principal peaks in the range 10° ≤ 2θ ≤ 90°, in order of rising 2θ:
hkl 0 1 2, 2θ 13.82, d 6.409, I = 51
hkl 1 0 4, 2θ 18.63, d 4.762, I = 100
hkl 1 1 0, 2θ 20.50, d 4.333, I = 55
hkl 1 1 3, 2θ 23.21, d 3.832, I = 62
hkl 0 2 4, 2θ 27.84, d 3.205, I = 53
hkl 1 1 6, 2θ 29.97, d 2.981, I = 91


# 2
# Ba3MgNb2ZnO9
Theoretical X-ray diffraction stick pattern, a wavelength of 1.5418 Å. Input: a crystal structure in the Materials Project, relaxed with GGA-PBE.

```
data_Ba3MgNb2ZnO9
_chemical_formula_sum 'Ba6 Mg2 Nb4 Zn2 O18'
_space_group_name_H-M_alt 'C 1 2/m 1'
_space_group_IT_number 12
_space_group_name_Hall '-C 2y'
_cell_length_a 11.0148
_cell_length_b 5.7206
_cell_length_c 7.8859
_cell_angle_alpha 90.00
_cell_angle_beta 105.53
_cell_angle_gamma 90.00
loop_
_atom_site_label
_atom_site_type_symbol
_atom_site_fract_x
_atom_site_fract_y
_atom_site_fract_z
Ba1 Ba 0.0000 0.0000 0.0000
Ba2 Ba 0.2129 0.5000 0.3001
Mg1 Mg 0.0000 0.5000 0.5000
Nb1 Nb 0.1347 0.5000 0.8476
Zn1 Zn 0.0000 0.0000 0.5000
O1 O 0.0000 0.5000 0.0000
O2 O 0.0065 0.2518 0.6886
O3 O 0.2100 0.5000 0.6434
O4 O 0.2500 0.2500 0.0000
```

Principal peaks in the range 10° ≤ 2θ ≤ 90°, in order of rising 2θ:
hkl 1 1 -2, 2θ 27.56, d 3.237, I = 100
hkl 3 1 -1, 2θ 29.33, d 3.045, I = 41
hkl 3 1 0, 2θ 29.69, d 3.009, I = 83
hkl 0 2 0, 2θ 31.27, d 2.860, I = 56
hkl 2 0 2, 2θ 32.45, d 2.759, I = 45
hkl 2 2 2, 2θ 45.69, d 1.986, I = 56


# 3
# ReH6CN3O4
Theoretical X-ray diffraction stick pattern, a wavelength of 1.5418 Å. Input: a crystal structure in the Materials Project, relaxed with GGA-PBE.

```
data_ReH6CN3O4
_chemical_formula_sum 'Re2 H12 C2 N6 O8'
_space_group_name_H-M_alt 'P -1'
_space_group_IT_number 2
_space_group_name_Hall '-P 1'
_cell_length_a 5.0547
_cell_length_b 7.8641
_cell_length_c 8.6025
_cell_angle_alpha 74.81
_cell_angle_beta 88.75
_cell_angle_gamma 81.27
loop_
_atom_site_label
_atom_site_type_symbol
_atom_site_fract_x
_atom_site_fract_y
_atom_site_fract_z
Re1 Re 0.0028 0.2546 0.1851
H1 H 0.1844 0.6084 0.2602
H2 H 0.2014 0.6015 0.4645
H3 H 0.3122 0.1093 0.5822
H4 H 0.3183 0.1077 0.8483
H5 H 0.4815 0.7669 0.0793
H6 H 0.4959 0.2460 0.4416
C1 C 0.4527 0.7521 0.3212
N1 N 0.2794 0.6350 0.3523
N2 N 0.4496 0.1946 0.5581
N3 N 0.4683 0.1829 0.8297
O1 O 0.0643 0.9634 0.7342
O2 O 0.1245 0.6639 0.0132
O3 O 0.1383 0.6069 0.6941
O4 O 0.3515 0.2443 0.1852
```

Principal peaks in the range 10° ≤ 2θ ≤ 90°, in order of rising 2θ:
hkl 0 1 1, 2θ 13.68, d 6.472, I = 92
hkl 1 0 0, 2θ 17.76, d 4.995, I = 56
hkl 0 1 -1, 2θ 17.89, d 4.957, I = 48
hkl 1 1 1, 2θ 21.17, d 4.197, I = 55
hkl 0 1 2, 2θ 21.59, d 4.117, I = 34
hkl 0 2 0, 2θ 23.72, d 3.750, I = 100


# 4
# Ba2Tl2Zn2Cu3O10
Theoretical X-ray diffraction stick pattern, a wavelength of 1.5418 Å. Input: a crystal structure in the Materials Project, relaxed with GGA-PBE.

```
data_Ba2Tl2Zn2Cu3O10
_chemical_formula_sum 'Ba2 Tl2 Zn2 Cu3 O10'
_space_group_name_H-M_alt 'P 1'
_space_group_IT_number 1
_space_group_name_Hall 'P 1'
_cell_length_a 3.7561
_cell_length_b 3.7767
_cell_length_c 19.0028
_cell_angle_alpha 95.67
_cell_angle_beta 94.84
_cell_angle_gamma 90.03
loop_
_atom_site_label
_atom_site_type_symbol
_atom_site_fract_x
_atom_site_fract_y
_atom_site_fract_z
Ba1 Ba 0.0000 0.0000 0.0000
Ba2 Ba 0.3400 0.2968 0.5602
Tl1 Tl 0.4465 0.4576 0.8441
Tl2 Tl 0.8984 0.8966 0.7163
Zn1 Zn 0.1081 0.1123 0.1940
Zn2 Zn 0.2473 0.2305 0.3663
Cu1 Cu 0.5544 0.5689 0.1218
Cu2 Cu 0.6587 0.6894 0.2801
Cu3 Cu 0.7862 0.7471 0.4385
O1 O 0.0623 0.5837 0.1421
O2 O 0.1717 0.7110 0.3078
O3 O 0.2960 0.7479 0.4593
O4 O 0.4038 0.2955 0.7301
O5 O 0.4856 0.4719 0.9561
O6 O 0.5371 0.0582 0.1016
O7 O 0.6323 0.1762 0.2538
O8 O 0.7727 0.2374 0.4196
O9 O 0.8575 0.8091 0.6044
O10 O 0.9417 0.8435 0.8303
```

Principal peaks in the range 10° ≤ 2θ ≤ 90°, in order of rising 2θ:
hkl 0 1 -3, 2θ 26.39, d 3.378, I = 31
hkl 0 1 -4, 2θ 28.85, d 3.095, I = 90
hkl 1 0 -4, 2θ 29.19, d 3.059, I = 31
hkl 0 1 4, 2θ 31.91, d 2.804, I = 30
hkl 0 0 7, 2θ 33.29, d 2.692, I = 32
hkl 1 -1 0, 2θ 33.65, d 2.663, I = 100


# 5
# MgCO3
Theoretical X-ray diffraction stick pattern, a wavelength of 1.5418 Å. Input: a crystal structure in the Materials Project, relaxed with GGA-PBE.

```
data_MgCO3
_chemical_formula_sum 'Mg6 C6 O18'
_space_group_name_H-M_alt 'R -3 c'
_space_group_IT_number 167
_space_group_name_Hall '-R 3 2"c'
_cell_length_a 4.6921
_cell_length_b 4.6921
_cell_length_c 15.1980
_cell_angle_alpha 90.00
_cell_angle_beta 90.00
_cell_angle_gamma 120.00
loop_
_atom_site_label
_atom_site_type_symbol
_atom_site_fract_x
_atom_site_fract_y
_atom_site_fract_z
Mg1 Mg 0.0000 0.0000 0.0000
C1 C 0.0000 0.0000 0.2500
O1 O 0.0000 0.2765 0.2500
```

Principal peaks in the range 10° ≤ 2θ ≤ 90°, in order of rising 2θ:
hkl 1 0 4, 2θ 32.26, d 2.775, I = 100
hkl 0 0 6, 2θ 35.44, d 2.533, I = 13
hkl 1 1 3, 2θ 42.46, d 2.129, I = 52
hkl 2 0 2, 2θ 46.25, d 1.963, I = 14
hkl 0 1 8, 2θ 53.22, d 1.721, I = 44
hkl 3 0 0, 2θ 69.38, d 1.355, I = 15


# 6
# Mg7Co
Theoretical X-ray diffraction stick pattern, a wavelength of 1.5418 Å. Input: a crystal structure in the Materials Project, relaxed with GGA-PBE.

```
data_Mg7Co
_chemical_formula_sum 'Mg7 Co1'
_space_group_name_H-M_alt 'P -6 m 2'
_space_group_IT_number 187
_space_group_name_Hall 'P -6 2'
_cell_length_a 6.1613
_cell_length_b 6.1613
_cell_length_c 4.9048
_cell_angle_alpha 90.00
_cell_angle_beta 90.00
_cell_angle_gamma 120.00
loop_
_atom_site_label
_atom_site_type_symbol
_atom_site_fract_x
_atom_site_fract_y
_atom_site_fract_z
Mg1 Mg 0.0000 0.0000 0.0000
Mg2 Mg 0.0207 0.5103 0.0000
Mg3 Mg 0.3339 0.1669 0.5000
Co1 Co 0.3333 0.6667 0.5000
```

Principal peaks in the range 10° ≤ 2θ ≤ 90°, in order of rising 2θ:
hkl 1 0 0, 2θ 16.61, d 5.336, I = 17
hkl 2 0 0, 2θ 33.59, d 2.668, I = 26
hkl 0 0 2, 2θ 36.64, d 2.452, I = 26
hkl 2 0 1, 2θ 38.41, d 2.344, I = 100
hkl 2 0 3, 2θ 67.15, d 1.394, I = 18
hkl 2 2 2, 2θ 72.46, d 1.304, I = 18


# 7
# HfZn2
Theoretical X-ray diffraction stick pattern, a wavelength of 1.5418 Å. Input: a crystal structure in the Materials Project, relaxed with GGA-PBE.

```
data_HfZn2
_chemical_formula_sum 'Hf8 Zn16'
_space_group_name_H-M_alt 'P 63/m m c'
_space_group_IT_number 194
_space_group_name_Hall '-P 6c 2c'
_cell_length_a 5.2220
_cell_length_b 5.2220
_cell_length_c 16.8336
_cell_angle_alpha 90.00
_cell_angle_beta 90.00
_cell_angle_gamma 120.00
loop_
_atom_site_label
_atom_site_type_symbol
_atom_site_fract_x
_atom_site_fract_y
_atom_site_fract_z
Hf1 Hf 0.0000 0.0000 0.0915
Hf2 Hf 0.3333 0.6667 0.1576
Zn1 Zn 0.0000 0.5000 0.0000
Zn2 Zn 0.1610 0.3220 0.7500
Zn3 Zn 0.3333 0.6667 0.6268
```

Principal peaks in the range 10° ≤ 2θ ≤ 90°, in order of rising 2θ:
hkl 1 1 0, 2θ 34.35, d 2.611, I = 68
hkl 1 0 6, 2θ 37.73, d 2.384, I = 83
hkl 1 1 4, 2θ 40.67, d 2.219, I = 100
hkl 2 0 2, 2θ 41.35, d 2.184, I = 48
hkl 2 1 6, 2θ 63.76, d 1.460, I = 33
hkl 2 2 0, 2θ 72.39, d 1.305, I = 25


# 8
# CeCdO3
Theoretical X-ray diffraction stick pattern, a wavelength of 1.5418 Å. Input: a crystal structure in the Materials Project, relaxed with GGA-PBE.

```
data_CeCdO3
_chemical_formula_sum 'Ce4 Cd4 O12'
_space_group_name_H-M_alt 'P 1 21/m 1'
_space_group_IT_number 11
_space_group_name_Hall '-P 2yb'
_cell_length_a 6.0025
_cell_length_b 8.4810
_cell_length_c 6.0058
_cell_angle_alpha 90.00
_cell_angle_beta 90.44
_cell_angle_gamma 90.00
loop_
_atom_site_label
_atom_site_type_symbol
_atom_site_fract_x
_atom_site_fract_y
_atom_site_fract_z
Ce1 Ce 0.0000 0.0000 0.0000
Ce2 Ce 0.5000 0.0000 0.5000
Cd1 Cd 0.0163 0.2500 0.5164
Cd2 Cd 0.4651 0.2500 0.9642
O1 O 0.0602 0.2500 0.8973
O2 O 0.1735 0.5674 0.6736
O3 O 0.3392 0.5008 0.1609
O4 O 0.3967 0.2500 0.5588
```

Principal peaks in the range 10° ≤ 2θ ≤ 90°, in order of rising 2θ:
hkl 1 2 -1, 2θ 29.74, d 3.004, I = 100
hkl 1 2 1, 2θ 29.84, d 2.995, I = 42
hkl 2 0 -2, 2θ 42.42, d 2.131, I = 10
hkl 0 4 0, 2θ 42.64, d 2.120, I = 13
hkl 3 2 -1, 2θ 52.72, d 1.736, I = 25
hkl 2 4 0, 2θ 52.90, d 1.731, I = 39